1.
Starting from a GGA-PBE-relaxed structure, the X-ray diffraction stick pattern of La5Si5I3 was simulated for λ = 1.5418 Å (Cu Kα).
Kinematic intensities with the Lorentz-polarization factor, no thermal factor.

Structural model:
abc: 24.2424 4.2680 15.8370
angles: 90.00 110.52 90.00
Space group C2/m (No. 12)
Asymmetric unit:
La  0.0166  0.0000  0.2908 [4 per cell]
La  0.0855  0.0000  0.5631 [4 per cell]
La  0.1619  0.5000  0.0581 [4 per cell]
La  0.1643  0.0000  0.8339 [4 per cell]
La  0.2382  0.5000  0.3294 [4 per cell]
Si  0.0084  0.5000  0.4270 [4 per cell]
Si  0.0760  0.5000  0.7067 [4 per cell]
Si  0.1717  0.5000  0.6813 [4 per cell]
Si  0.2407  0.0000  0.1897 [4 per cell]
Si  0.2503  0.0000  0.0394 [4 per cell]
I  0.0609  0.0000  0.9329 [4 per cell]
I  0.0912  0.5000  0.2053 [4 per cell]
I  0.1730  0.0000  0.4374 [4 per cell]

Most intense lines, 15° ≤ 2θ ≤ 90°, by angle:
d/Å, Rel. int.
4.106, 41.7
3.212, 66.4
3.115, 53.7
2.886, 31.0
2.752, 51.7
2.682, 100.0
2.650, 48.1
2.542, 58.6
2.134, 51.5
1.777, 24.0

2.
Starting from a GGA-PBE-relaxed structure, the X-ray diffraction stick pattern of La10Os2I15 was simulated for λ = 1.5418 Å (Cu Kα).
Kinematic intensities with the Lorentz-polarization factor, no thermal factor.

Structural model:
abc: 10.1642 11.1785 11.9494
angles: 92.20 113.89 110.17
Space group P-1 (No. 2)
Asymmetric unit:
La  0.0249  0.2063  0.0969 [2 per cell]
La  0.0879  0.5457  0.3304 [2 per cell]
La  0.1642  0.2494  0.8232 [2 per cell]
La  0.2251  0.5813  0.0532 [2 per cell]
La  0.2991  0.9049  0.2764 [2 per cell]
Os  0.0321  0.6748  0.1202 [2 per cell]
I  0.0925  0.0407  0.3402 [2 per cell]
I  0.1448  0.3866  0.5825 [2 per cell]
I  0.2144  0.7385  0.8168 [2 per cell]
I  0.2652  0.0879  0.0556 [2 per cell]
I  0.3408  0.4436  0.3022 [2 per cell]
I  0.3889  0.7999  0.5338 [2 per cell]
I  0.4336  0.1538  0.7715 [2 per cell]
I  0.5000  0.5000  0.0000 [1 per cell]

Most intense lines, 15° ≤ 2θ ≤ 90°, by angle:
d/Å, Rel. int.
3.261, 99.3
3.232, 100.0
3.180, 90.7
2.314, 34.7
2.300, 34.2
2.293, 32.0
2.277, 36.1
2.260, 33.2
2.235, 32.6
1.879, 33.7

3.
Starting from a GGA-PBE-relaxed structure, the X-ray diffraction stick pattern of Mg5Si9 was simulated for λ = 1.5418 Å (Cu Kα).
Kinematic intensities with the Lorentz-polarization factor, no thermal factor.

Structural model:
abc: 6.3663 7.3033 11.6433
angles: 87.08 76.46 69.57
Space group P1 (No. 1)
Asymmetric unit:
Mg  0.0000  0.0000  0.0000 [1 per cell]
Mg  0.0109  0.5669  0.3578 [1 per cell]
Mg  0.0901  0.2876  0.1514 [1 per cell]
Mg  0.3118  0.6853  0.1250 [1 per cell]
Mg  0.3571  0.3774  0.7396 [1 per cell]
Mg  0.5171  0.6662  0.5726 [1 per cell]
Mg  0.5728  0.2484  0.1974 [1 per cell]
Mg  0.6523  0.6579  0.8223 [1 per cell]
Mg  0.6898  0.0076  0.5869 [1 per cell]
Mg  0.7485  0.7608  0.1446 [1 per cell]
Si  0.0786  0.7757  0.7583 [1 per cell]
Si  0.0947  0.6025  0.9490 [1 per cell]
Si  0.1400  0.8690  0.4450 [1 per cell]
Si  0.1980  0.0633  0.5943 [1 per cell]
Si  0.2346  0.1611  0.3574 [1 per cell]
Si  0.3213  0.9813  0.7803 [1 per cell]
Si  0.3354  0.3309  0.5019 [1 per cell]
Si  0.4474  0.3508  0.9706 [1 per cell]
Si  0.4711  0.0039  0.0053 [1 per cell]
Si  0.4995  0.6107  0.3356 [1 per cell]
Si  0.5936  0.9013  0.3764 [1 per cell]
Si  0.7089  0.0711  0.8197 [1 per cell]
Si  0.7538  0.2933  0.4074 [1 per cell]
Si  0.7802  0.4428  0.0112 [1 per cell]
Si  0.8320  0.3356  0.6429 [1 per cell]
Si  0.9394  0.9684  0.2737 [1 per cell]
Si  0.9651  0.2627  0.8267 [1 per cell]
Si  0.9926  0.6147  0.5949 [1 per cell]

Most intense lines, 15° ≤ 2θ ≤ 90°, by angle:
d/Å, Rel. int.
2.731, 27.6
2.545, 85.2
2.489, 79.4
2.442, 52.0
2.377, 58.8
2.280, 38.1
2.263, 39.7
2.248, 100.0
2.217, 52.9
2.203, 37.9

4.
Starting from a GGA-PBE-relaxed structure, the X-ray diffraction stick pattern of Er2Si3Pd was simulated for λ = 1.5418 Å (Cu Kα).
Kinematic intensities with the Lorentz-polarization factor, no thermal factor.

Structural model:
abc: 8.1880 8.1880 7.7853
angles: 90.00 90.00 120.00
Space group P6_3/mmc (No. 194)
Asymmetric unit:
Er  0.0000  0.0000  0.2500 [2 per cell]
Er  0.0238  0.5119  0.2500 [6 per cell]
Si  0.1655  0.3311  0.5018 [12 per cell]
Pd  0.3333  0.6667  0.5434 [4 per cell]

Most intense lines, 15° ≤ 2θ ≤ 90°, by angle:
d/Å, Rel. int.
4.094, 6.4
3.546, 32.6
2.621, 100.0
2.047, 36.5
1.946, 8.8
1.706, 10.9
1.613, 21.2
1.411, 17.2
1.267, 17.5
1.219, 7.1

5.
Starting from a GGA-PBE-relaxed structure, the X-ray diffraction stick pattern of Hg3Ge was simulated for λ = 1.5418 Å (Cu Kα).
Kinematic intensities with the Lorentz-polarization factor, no thermal factor.

Structural model:
abc: 6.4705 6.4705 5.2472
angles: 90.00 90.00 120.00
Space group P6_3/mmc (No. 194)
Asymmetric unit:
Hg  0.1686  0.3373  0.2500 [6 per cell]
Ge  0.3333  0.6667  0.7500 [2 per cell]

Most intense lines, 15° ≤ 2θ ≤ 90°, by angle:
d/Å, Rel. int.
3.830, 11.2
2.802, 23.4
2.624, 26.2
2.472, 100.0
1.915, 15.8
1.618, 18.5
1.484, 20.9
1.377, 21.8
1.353, 15.4
1.093, 8.5

6.
Starting from a GGA-PBE-relaxed structure, the X-ray diffraction stick pattern of GdTa3O9 was simulated for λ = 1.5418 Å (Cu Kα).
Kinematic intensities with the Lorentz-polarization factor, no thermal factor.

Structural model:
abc: 6.5249 7.6675 12.6607
angles: 90.00 90.00 90.00
Space group Pnma (No. 62)
Asymmetric unit:
Gd  0.0545  0.2500  0.0336 [4 per cell]
Ta  0.0000  0.0000  0.5000 [4 per cell]
Ta  0.2100  0.0025  0.7862 [8 per cell]
O  0.0204  0.0390  0.6564 [8 per cell]
O  0.0737  0.7500  0.5231 [4 per cell]
O  0.0985  0.0306  0.1674 [8 per cell]
O  0.1752  0.2500  0.8259 [4 per cell]
O  0.2032  0.7500  0.8021 [4 per cell]
O  0.2088  0.5328  0.9615 [8 per cell]

Most intense lines, 15° ≤ 2θ ≤ 90°, by angle:
d/Å, Rel. int.
3.834, 60.4
3.279, 34.7
3.198, 70.1
3.164, 60.0
2.900, 100.0
2.848, 27.9
2.602, 49.6
2.313, 28.9
1.917, 33.9
1.599, 36.6

7.
Starting from a GGA-PBE-relaxed structure, the X-ray diffraction stick pattern of NaCa3 was simulated for λ = 1.5418 Å (Cu Kα).
Kinematic intensities with the Lorentz-polarization factor, no thermal factor.

Structural model:
abc: 5.3891 5.3891 11.3642
angles: 90.00 90.00 90.00
Space group I4/mmm (No. 139)
Asymmetric unit:
Na  0.0000  0.0000  0.0000 [2 per cell]
Ca  0.0000  0.0000  0.5000 [2 per cell]
Ca  0.0000  0.5000  0.2500 [4 per cell]

Most intense lines, 15° ≤ 2θ ≤ 90°, by angle:
d/Å, Rel. int.
3.165, 100.0
2.841, 18.4
2.695, 31.6
1.955, 22.8
1.905, 10.5
1.696, 13.9
1.632, 24.2
1.582, 10.8
1.267, 9.4
1.109, 6.0

Repeat the second record exactly.
Starting from a GGA-PBE-relaxed structure, the X-ray diffraction stick pattern of La10Os2I15 was simulated for λ = 1.5418 Å (Cu Kα).
Kinematic intensities with the Lorentz-polarization factor, no thermal factor.

Structural model:
abc: 10.1642 11.1785 11.9494
angles: 92.20 113.89 110.17
Space group P-1 (No. 2)
Asymmetric unit:
La  0.0249  0.2063  0.0969 [2 per cell]
La  0.0879  0.5457  0.3304 [2 per cell]
La  0.1642  0.2494  0.8232 [2 per cell]
La  0.2251  0.5813  0.0532 [2 per cell]
La  0.2991  0.9049  0.2764 [2 per cell]
Os  0.0321  0.6748  0.1202 [2 per cell]
I  0.0925  0.0407  0.3402 [2 per cell]
I  0.1448  0.3866  0.5825 [2 per cell]
I  0.2144  0.7385  0.8168 [2 per cell]
I  0.2652  0.0879  0.0556 [2 per cell]
I  0.3408  0.4436  0.3022 [2 per cell]
I  0.3889  0.7999  0.5338 [2 per cell]
I  0.4336  0.1538  0.7715 [2 per cell]
I  0.5000  0.5000  0.0000 [1 per cell]

Most intense lines, 15° ≤ 2θ ≤ 90°, by angle:
d/Å, Rel. int.
3.261, 99.3
3.232, 100.0
3.180, 90.7
2.314, 34.7
2.300, 34.2
2.293, 32.0
2.277, 36.1
2.260, 33.2
2.235, 32.6
1.879, 33.7